Entry 1:
For LiTm3Mg12, a cell relaxed with GGA-PBE gives the calculated XRD peak list in this record (Cu Kα).
Lines closer than 0.1° are merged.

Peak list (10 most intense, 5° ≤ 2θ ≤ 70°, low angle first)
19.30°, intensity 50
19.43°, intensity 24
27.49°, intensity 63
33.83°, intensity 100
39.17°, intensity 34
39.45°, intensity 17
44.05°, intensity 24
48.54°, intensity 18
56.81°, intensity 21
67.59°, intensity 26

Crystal structure
Unit cell a=4.599 b=4.599 c=18.276 alpha=90.00 beta=90.00 gamma=90.00
Element x y z (fractional)
Li (0.000, 0.000, 0.000)
Tm (0.000, 0.000, 0.242)
Tm (0.000, 0.000, 0.500)
Tm (0.000, 0.000, 0.758)
Mg (0.000, 0.500, 0.116)
Mg (0.000, 0.500, 0.371)
Mg (0.000, 0.500, 0.629)
Mg (0.000, 0.500, 0.884)
Mg (0.500, 0.000, 0.116)
Mg (0.500, 0.000, 0.371)
Mg (0.500, 0.000, 0.629)
Mg (0.500, 0.000, 0.884)
Mg (0.500, 0.500, 0.000)
Mg (0.500, 0.500, 0.240)
Mg (0.500, 0.500, 0.500)
Mg (0.500, 0.500, 0.760)


Entry 2:
For Cs2ZrPbF6, a cell relaxed with GGA-PBE gives the calculated XRD peak list in this record (Cu Kα).
Lines closer than 0.1° are merged.

Peak list (10 most intense, 5° ≤ 2θ ≤ 70°, low angle first)
23.91°, intensity 100
27.26°, intensity 34
28.50°, intensity 21
38.93°, intensity 21
39.85°, intensity 19
46.20°, intensity 33
47.79°, intensity 20
48.95°, intensity 18
61.96°, intensity 8
63.27°, intensity 16

Crystal structure
Unit cell a=7.787 b=7.787 c=7.787 alpha=130.31 beta=130.31 gamma=72.91
Element x y z (fractional)
Cs (0.250, 0.750, 0.500)
Cs (0.750, 0.250, 0.500)
Zr (0.000, 0.000, 0.000)
Pb (0.500, 0.500, 0.000)
F (0.163, 0.163, 0.000)
F (0.221, 0.221, 0.441)
F (0.221, 0.779, 0.000)
F (0.779, 0.221, 0.000)
F (0.779, 0.779, 0.559)
F (0.837, 0.837, 0.000)


Entry 3:
For K3Zr2O3F4, a cell relaxed with GGA-PBE gives the calculated XRD peak list in this record (Cu Kα).
Lines closer than 0.1° are merged.

Peak list (10 most intense, 5° ≤ 2θ ≤ 70°, low angle first)
7.95°, intensity 58
15.93°, intensity 38
20.66°, intensity 35
21.90°, intensity 37
28.60°, intensity 72
29.52°, intensity 73
29.74°, intensity 100
40.55°, intensity 36
41.21°, intensity 43
43.86°, intensity 36

Crystal structure
Unit cell a=11.524 b=11.524 c=11.524 alpha=159.36 beta=30.28 gamma=158.09
Element x y z (fractional)
K (0.000, 0.000, 0.000)
K (0.187, 0.999, 0.188)
K (0.811, 0.999, 0.812)
Zr (0.408, 0.000, 0.408)
Zr (0.592, 0.000, 0.592)
O (0.397, 0.500, 0.898)
O (0.500, 0.000, 0.500)
O (0.602, 0.500, 0.102)
F (0.096, 0.500, 0.596)
F (0.307, 0.001, 0.306)
F (0.695, 0.001, 0.694)
F (0.904, 0.500, 0.404)


Entry 4:
For Mg14CoB, a cell relaxed with GGA-PBE gives the calculated XRD peak list in this record (Cu Kα).
Lines closer than 0.1° are merged.

Peak list (10 most intense, 5° ≤ 2θ ≤ 70°, low angle first)
9.23°, intensity 19
18.51°, intensity 13
32.35°, intensity 19
33.51°, intensity 14
37.53°, intensity 100
38.56°, intensity 23
50.39°, intensity 10
56.93°, intensity 9
59.17°, intensity 9
67.73°, intensity 8

Crystal structure
Unit cell a=9.579 b=6.251 c=6.251 alpha=62.33 beta=90.00 gamma=90.00
Element x y z (fractional)
Mg (0.000, 0.000, 0.000)
Mg (0.000, 0.493, 0.983)
Mg (0.000, 0.495, 0.495)
Mg (0.000, 0.983, 0.493)
Mg (0.249, 0.316, 0.316)
Mg (0.254, 0.828, 0.828)
Mg (0.314, 0.322, 0.800)
Mg (0.314, 0.800, 0.322)
Mg (0.500, 0.050, 0.537)
Mg (0.500, 0.537, 0.050)
Mg (0.686, 0.322, 0.800)
Mg (0.686, 0.800, 0.322)
Mg (0.746, 0.828, 0.828)
Mg (0.751, 0.316, 0.316)
Co (0.500, 0.977, 0.977)
B (0.500, 0.465, 0.465)